For CdNi2Mo, a DFT-relaxed cell (PBE, Alexandria) gives the simulated PXRD pattern in this record (Cu Ka).
Kinematic intensities with the Lorentz-polarization factor, no thermal factor.

Structure:
a = 2.740 Å, b = 2.740 Å, c = 7.605 Å
α = 90.00°, β = 90.00°, γ = 90.00°
Space group P4mm (No. 99)
Symmetry-distinct sites (fractional):
Cd 0.000 0.000 0.000 [1 per cell]
Ni 0.000 0.000 0.540 [1 per cell]
Ni 0.500 0.500 0.743 [1 per cell]
Mo 0.500 0.500 0.311 [1 per cell]

Peak list (10 most intense, 2θ = 15–90°, sorted by position)
2θ 34.8, I = 14.9
2θ 35.4, I = 9.7
2θ 40.6, I = 100.0
2θ 46.9, I = 36.8
2θ 47.8, I = 10.0
2θ 60.1, I = 8.0
2θ 68.5, I = 11.2
2θ 69.2, I = 12.4
2θ 70.9, I = 7.2
2θ 82.8, I = 23.1